[1]
The following is a computed powder XRD pattern of In8Hg3Br8. It was derived from the GGA-PBE geometry in Alexandria, using a wavelength of 1.5418 Å.
Kinematic intensities with the Lorentz-polarization factor, no thermal factor.

Top 6 peaks for 10 to 90 degrees two-theta, by intensity:
- 2θ = 27.46°, intensity 100
- 2θ = 27.25°, intensity 39
- 2θ = 16.28°, intensity 37
- 2θ = 40.92°, intensity 37
- 2θ = 29.73°, intensity 36
- 2θ = 30.05°, intensity 36

Cell and atoms:
Cell: 13.0617 13.0617 9.9929 Å, 109.26 109.26 28.79°
Positions (direct):
In  0.0579  0.0579  0.2469
In  0.1906  0.1906  0.8549
In  0.3108  0.3108  0.4835
In  0.4203  0.4203  0.0629
In  0.5797  0.5797  0.9371
In  0.6892  0.6892  0.5165
In  0.8094  0.8094  0.1451
In  0.9421  0.9421  0.7531
Hg  0.0000  0.0000  0.5000
Hg  0.3068  0.3068  0.7985
Hg  0.6932  0.6932  0.2015
Br  0.0826  0.0826  0.9624
Br  0.1857  0.1857  0.4585
Br  0.2819  0.2819  0.1496
Br  0.4509  0.4509  0.7829
Br  0.5491  0.5491  0.2171
Br  0.7181  0.7181  0.8504
Br  0.8143  0.8143  0.5415
Br  0.9174  0.9174  0.0376


[2]
The following is a computed powder XRD pattern of In6Hg12Br. It was derived from the GGA-PBE geometry in Alexandria, using a wavelength of 1.5418 Å.
Kinematic intensities with the Lorentz-polarization factor, no thermal factor.

Top 6 peaks for 10 to 90 degrees two-theta, by intensity:
- 2θ = 34.56°, intensity 100
- 2θ = 30.46°, intensity 82
- 2θ = 30.58°, intensity 80
- 2θ = 36.58°, intensity 44
- 2θ = 38.55°, intensity 39
- 2θ = 41.97°, intensity 34

Cell and atoms:
Cell: 7.8118 9.0221 9.1320 Å, 105.70 111.12 102.96°
Positions (direct):
In  0.0074  0.3907  0.1475
In  0.1077  0.1942  0.5255
In  0.3464  0.2092  0.2693
In  0.6536  0.7908  0.7307
In  0.8923  0.8058  0.4745
In  0.9926  0.6093  0.8525
Hg  0.1085  0.9935  0.8753
Hg  0.2004  0.8133  0.2470
Hg  0.2732  0.3896  0.9152
Hg  0.3598  0.9680  0.6398
Hg  0.4248  0.7920  0.9558
Hg  0.4606  0.5878  0.3314
Hg  0.5394  0.4122  0.6686
Hg  0.5752  0.2080  0.0442
Hg  0.6402  0.0320  0.3602
Hg  0.7268  0.6104  0.0848
Hg  0.7996  0.1867  0.7530
Hg  0.8915  0.0065  0.1247
Br  0.0000  0.5000  0.5000


[3]
The following is a computed powder XRD pattern of In4Hg6Br. It was derived from the GGA-PBE geometry in Alexandria, using a wavelength of 1.5418 Å.
Kinematic intensities with the Lorentz-polarization factor, no thermal factor.

Top 6 peaks for 10 to 90 degrees two-theta, by intensity:
- 2θ = 35.07°, intensity 100
- 2θ = 36.38°, intensity 41
- 2θ = 21.53°, intensity 28
- 2θ = 25.51°, intensity 22
- 2θ = 12.67°, intensity 20
- 2θ = 64.62°, intensity 20

Cell and atoms:
Cell: 9.8775 9.8775 7.5178 Å, 90.00 90.00 90.00°
Positions (direct):
In  0.0091  0.2500  0.0240
In  0.2500  0.0091  0.5240
In  0.2500  0.4909  0.5240
In  0.4909  0.2500  0.0240
In  0.5091  0.7500  0.9760
In  0.7500  0.5091  0.4760
In  0.7500  0.9909  0.4760
In  0.9909  0.7500  0.9760
Hg  0.0287  0.5287  0.2500
Hg  0.0287  0.9713  0.2500
Hg  0.2500  0.2500  0.2638
Hg  0.2500  0.2500  0.7638
Hg  0.4713  0.5287  0.2500
Hg  0.4713  0.9713  0.2500
Hg  0.5287  0.0287  0.7500
Hg  0.5287  0.4713  0.7500
Hg  0.7500  0.7500  0.2362
Hg  0.7500  0.7500  0.7362
Hg  0.9713  0.0287  0.7500
Hg  0.9713  0.4713  0.7500
Br  0.2500  0.7500  0.7500
Br  0.7500  0.2500  0.2500